Structure and computed powder XRD pattern of Al4Cu13Si2Sb2O28 (a PBE-relaxed structure; λ = 1.5418 Å (Cu Kα)).

Crystal structure
```
data_Al4Cu13Si2Sb2O28
_chemical_formula_sum 'Al4 Cu13 Si2 Sb2 O28'
_cell_length_a 5.4401
_cell_length_b 8.4989
_cell_length_c 11.9650
_cell_angle_alpha 87.68
_cell_angle_beta 77.02
_cell_angle_gamma 80.54
_space_group_name_H-M_alt 'P 1'
_space_group_IT_number 1
loop_
_space_group_symop_operation_xyz
'x,y,z'
loop_
_atom_site_label
_atom_site_type_symbol
_atom_site_fract_x
_atom_site_fract_y
_atom_site_fract_z
Al1 Al 0.0000 0.0000 0.0000
Al2 Al 0.0077 0.3365 0.1425
Al3 Al 0.4287 0.0021 0.1426
Al4 Al 0.5790 0.3354 0.9996
Cu1 Cu 0.0778 0.6679 0.4254
Cu2 Cu 0.1340 0.3090 0.8600
Cu3 Cu 0.1843 0.0264 0.7128
Cu4 Cu 0.2132 0.6690 0.1531
Cu5 Cu 0.3108 0.0246 0.4290
Cu6 Cu 0.4203 0.3075 0.2840
Cu7 Cu 0.5054 0.6675 0.5706
Cu8 Cu 0.5918 0.0298 0.8579
Cu9 Cu 0.6965 0.3113 0.7124
Cu10 Cu 0.7958 0.6681 0.9889
Cu11 Cu 0.8380 0.3112 0.4293
Cu12 Cu 0.8754 0.0297 0.2836
Cu13 Cu 0.9352 0.6665 0.7157
Si1 Si 0.2841 0.3512 0.5711
Si2 Si 0.7276 0.9834 0.5715
Sb1 Sb 0.3652 0.6696 0.8513
Sb2 Sb 0.6447 0.6686 0.2907
O1 O 0.0869 0.5390 0.8498
O2 O 0.0908 0.7839 0.9828
O3 O 0.1128 0.0339 0.1226
O4 O 0.1200 0.2748 0.6890
O5 O 0.1650 0.0756 0.8702
O6 O 0.2034 0.5502 0.5722
O7 O 0.2197 0.7948 0.7251
O8 O 0.2315 0.2791 0.4536
O9 O 0.3434 0.3034 0.1226
O10 O 0.3659 0.5380 0.2903
O11 O 0.3780 0.7882 0.4197
O12 O 0.4213 0.0142 0.5700
O13 O 0.4693 0.0742 0.2723
O14 O 0.5002 0.7855 0.1604
O15 O 0.5081 0.5520 0.9816
O16 O 0.5382 0.2632 0.8699
O17 O 0.5899 0.3196 0.5706
O18 O 0.6293 0.5482 0.7227
O19 O 0.6430 0.7998 0.8518
O20 O 0.6644 0.0344 0.0197
O21 O 0.7745 0.0579 0.6891
O22 O 0.7846 0.5470 0.4186
O23 O 0.8071 0.7842 0.5715
O24 O 0.8386 0.2628 0.2719
O25 O 0.8944 0.0567 0.4537
O26 O 0.8949 0.3053 0.0193
O27 O 0.9180 0.5529 0.1599
O28 O 0.9226 0.7995 0.2906
```

Largest 8 diffraction maxima, sorted by position, 2θ = 5–70°:
hkl	Position (°2θ)	intensity
1 0 4	31.6	77
0 3 0	32.0	100
2 1 1	33.4	65
-1 1 3	34.2	60
1 -1 4	34.4	56
1 2 4	36.7	98
2 -1 1	36.8	38
0 0 7	55.1	34


Structure and computed powder XRD pattern of AlCu3Sn4O12 (a PBE-relaxed structure; λ = 1.5418 Å (Cu Kα)).

Crystal structure
```
data_AlCu3Sn4O12
_chemical_formula_sum 'Al2 Cu6 Sn8 O24'
_cell_length_a 7.7404
_cell_length_b 7.7404
_cell_length_c 7.7404
_cell_angle_alpha 90.00
_cell_angle_beta 90.00
_cell_angle_gamma 90.00
_space_group_name_H-M_alt 'I m -3'
_space_group_IT_number 204
_space_group_name_Hall '-I 2 2 3'
loop_
_atom_site_label
_atom_site_type_symbol
_atom_site_fract_x
_atom_site_fract_y
_atom_site_fract_z
Al1 Al 0.0000 0.0000 0.0000
Cu1 Cu 0.0000 0.0000 0.5000
Sn1 Sn 0.2500 0.2500 0.2500
O1 O 0.0000 0.1663 0.2996
```

Largest 8 diffraction maxima, sorted by position, 2θ = 5–70°:
hkl	Position (°2θ)	intensity
2 0 0	23.0	20
2 1 1	28.2	3
2 2 0	32.7	100
2 2 2	40.4	3
4 0 0	47.0	25
4 0 2	52.9	11
4 2 2	58.4	50
4 4 0	68.6	13


Structure and computed powder XRD pattern of Sr2AlCu2SnO7 (a PBE-relaxed structure; λ = 1.5418 Å (Cu Kα)).

Crystal structure
```
data_Sr2AlCu2SnO7
_chemical_formula_sum 'Sr4 Al2 Cu4 Sn2 O14'
_cell_length_a 5.3659
_cell_length_b 5.4079
_cell_length_c 12.5188
_cell_angle_alpha 102.41
_cell_angle_beta 102.27
_cell_angle_gamma 90.32
_space_group_name_H-M_alt 'P 1'
_space_group_IT_number 1
loop_
_space_group_symop_operation_xyz
'x,y,z'
loop_
_atom_site_label
_atom_site_type_symbol
_atom_site_fract_x
_atom_site_fract_y
_atom_site_fract_z
Sr1 Sr 0.0000 0.0000 0.0000
Sr2 Sr 0.2131 0.2148 0.4385
Sr3 Sr 0.4966 0.4891 0.0008
Sr4 Sr 0.7103 0.7084 0.4378
Al1 Al 0.3449 0.3470 0.7195
Al2 Al 0.8483 0.8624 0.7188
Cu1 Cu 0.2927 0.7967 0.6111
Cu2 Cu 0.4112 0.9081 0.8324
Cu3 Cu 0.7887 0.2983 0.6054
Cu4 Cu 0.9067 0.4125 0.8269
Sn1 Sn 0.0669 0.6452 0.2195
Sn2 Sn 0.5798 0.0878 0.2196
O1 O 0.0333 0.4942 0.0548
O2 O 0.0843 0.0886 0.8226
O3 O 0.1159 0.1199 0.6125
O4 O 0.1916 0.0075 0.2194
O5 O 0.1959 0.6586 0.3843
O6 O 0.2322 0.5805 0.8263
O7 O 0.4684 0.4771 0.6160
O8 O 0.5202 0.0266 0.0435
O9 O 0.5845 0.2298 0.8225
O10 O 0.6147 0.9743 0.6117
O11 O 0.6872 0.7110 0.2194
O12 O 0.6937 0.2021 0.3958
O13 O 0.7345 0.7344 0.8253
O14 O 0.9710 0.6282 0.6161
```

Largest 8 diffraction maxima, sorted by position, 2θ = 5–70°:
hkl	Position (°2θ)	intensity
-1 1 2	27.7	85
1 1 -3	27.8	87
1 1 2	32.5	100
0 2 -1	33.1	93
2 0 -1	33.4	93
0 0 5	37.7	72
-1 1 4	38.3	39
2 2 -2	47.9	41


Structure and computed powder XRD pattern of Sr2AlCu2SnO7 (a PBE-relaxed structure; λ = 1.5418 Å (Cu Kα)).

Crystal structure
```
data_Sr2AlCu2SnO7
_chemical_formula_sum 'Sr4 Al2 Cu4 Sn2 O14'
_cell_length_a 5.3659
_cell_length_b 5.4079
_cell_length_c 12.5188
_cell_angle_alpha 102.41
_cell_angle_beta 102.27
_cell_angle_gamma 90.32
_space_group_name_H-M_alt 'P 1'
_space_group_IT_number 1
loop_
_space_group_symop_operation_xyz
'x,y,z'
loop_
_atom_site_label
_atom_site_type_symbol
_atom_site_fract_x
_atom_site_fract_y
_atom_site_fract_z
Sr1 Sr 0.0000 0.0000 0.0000
Sr2 Sr 0.2233 0.2176 0.5630
Sr3 Sr 0.5020 0.5057 0.0007
Sr4 Sr 0.7275 0.7294 0.5622
Al1 Al 0.3529 0.3570 0.2817
Al2 Al 0.8570 0.8730 0.2810
Cu1 Cu 0.3064 0.8052 0.3946
Cu2 Cu 0.4092 0.9150 0.1733
Cu3 Cu 0.8074 0.3151 0.3891
Cu4 Cu 0.9109 0.4224 0.1675
Sn1 Sn 0.0877 0.5976 0.7818
Sn2 Sn 0.5750 0.1551 0.7817
O1 O 0.0254 0.5358 0.9580
O2 O 0.0824 0.7416 0.1782
O3 O 0.1334 0.4836 0.3885
O4 O 0.1953 0.2211 0.7816
O5 O 0.2042 0.7126 0.6057
O6 O 0.2309 0.2369 0.1747
O7 O 0.4896 0.1368 0.3847
O8 O 0.5391 0.0037 0.9465
O9 O 0.5799 0.5905 0.1782
O10 O 0.6367 0.6385 0.3875
O11 O 0.6998 0.5176 0.7815
O12 O 0.7061 0.1689 0.6170
O13 O 0.7305 0.0921 0.1739
O14 O 0.9892 0.9954 0.3848
```

Largest 8 diffraction maxima, sorted by position, 2θ = 5–70°:
hkl	Position (°2θ)	intensity
1 1 -1	23.4	81
1 1 -2	24.6	74
-1 1 2	27.7	100
1 -1 3	32.5	77
0 2 1	36.5	95
2 0 1	36.7	96
0 0 5	37.7	87
1 1 3	38.3	51


Structure and computed powder XRD pattern of Sr2AlCu3O7 (a PBE-relaxed structure; λ = 1.5418 Å (Cu Kα)).

Crystal structure
```
data_Sr2AlCu3O7
_chemical_formula_sum 'Sr4 Al2 Cu6 O14'
_cell_length_a 5.2992
_cell_length_b 5.3600
_cell_length_c 12.1172
_cell_angle_alpha 102.70
_cell_angle_beta 102.61
_cell_angle_gamma 90.05
_space_group_name_H-M_alt 'P 1'
_space_group_IT_number 1
loop_
_space_group_symop_operation_xyz
'x,y,z'
loop_
_atom_site_label
_atom_site_type_symbol
_atom_site_fract_x
_atom_site_fract_y
_atom_site_fract_z
Sr1 Sr 0.0000 0.0000 0.0000
Sr2 Sr 0.1941 0.1940 0.3958
Sr3 Sr 0.4912 0.5008 0.0004
Sr4 Sr 0.6876 0.6953 0.3951
Al1 Al 0.3451 0.3452 0.6979
Al2 Al 0.8544 0.8488 0.6973
Cu1 Cu 0.0398 0.5724 0.1978
Cu2 Cu 0.2865 0.7836 0.5776
Cu3 Cu 0.4100 0.9103 0.8171
Cu4 Cu 0.6516 0.0734 0.1977
Cu5 Cu 0.7842 0.2862 0.5780
Cu6 Cu 0.9058 0.4110 0.8175
O1 O 0.0180 0.5223 0.0368
O2 O 0.0818 0.0832 0.8080
O3 O 0.1115 0.1114 0.5902
O4 O 0.1776 0.6811 0.3591
O5 O 0.2226 0.5837 0.8048
O6 O 0.4649 0.4647 0.5874
O7 O 0.5141 0.0215 0.0370
O8 O 0.5778 0.2304 0.8087
O9 O 0.6136 0.9694 0.5903
O10 O 0.6738 0.1805 0.3585
O11 O 0.7073 0.7297 0.1978
O12 O 0.7253 0.7285 0.8052
O13 O 0.9660 0.6128 0.5865
O14 O 0.9916 0.2279 0.1979
```

Largest 8 diffraction maxima, sorted by position, 2θ = 5–70°:
hkl	Position (°2θ)	intensity
1 1 -3	28.3	51
1 1 2	33.3	100
0 2 -1	33.4	51
2 0 -1	33.8	47
0 0 5	39.1	37
1 1 -5	39.4	22
2 -2 0	48.3	43
1 3 1	59.7	22


Structure and computed powder XRD pattern of Sr2AlCu3O7 (a PBE-relaxed structure; λ = 1.5418 Å (Cu Kα)).

Crystal structure
```
data_Sr2AlCu3O7
_chemical_formula_sum 'Sr4 Al2 Cu6 O14'
_cell_length_a 5.3091
_cell_length_b 5.3571
_cell_length_c 12.0591
_cell_angle_alpha 102.81
_cell_angle_beta 102.70
_cell_angle_gamma 90.08
_space_group_name_H-M_alt 'P 1'
_space_group_IT_number 1
loop_
_space_group_symop_operation_xyz
'x,y,z'
loop_
_atom_site_label
_atom_site_type_symbol
_atom_site_fract_x
_atom_site_fract_y
_atom_site_fract_z
Sr1 Sr 0.0000 0.0000 0.0000
Sr2 Sr 0.1956 0.1946 0.3962
Sr3 Sr 0.4922 0.4999 0.0001
Sr4 Sr 0.6893 0.6951 0.3960
Al1 Al 0.3443 0.3493 0.6982
Al2 Al 0.8505 0.8523 0.6979
Cu1 Cu 0.0420 0.5758 0.1981
Cu2 Cu 0.2854 0.7871 0.5771
Cu3 Cu 0.4088 0.9123 0.8189
Cu4 Cu 0.6483 0.0756 0.1980
Cu5 Cu 0.7836 0.2887 0.5771
Cu6 Cu 0.9061 0.4132 0.8188
O1 O 0.0178 0.5235 0.0369
O2 O 0.0802 0.0857 0.8087
O3 O 0.1121 0.1148 0.5899
O4 O 0.1784 0.6829 0.3599
O5 O 0.2237 0.5847 0.8072
O6 O 0.4652 0.4692 0.5874
O7 O 0.5125 0.0226 0.0367
O8 O 0.5780 0.2299 0.8077
O9 O 0.6135 0.9713 0.5887
O10 O 0.6724 0.1824 0.3595
O11 O 0.7053 0.7326 0.1983
O12 O 0.7248 0.7291 0.8062
O13 O 0.9674 0.6160 0.5882
O14 O 0.9865 0.2325 0.1982
```

Largest 8 diffraction maxima, sorted by position, 2θ = 5–70°:
hkl	Position (°2θ)	intensity
1 1 -3	28.3	33
0 2 -1	33.4	100
2 0 -1	33.8	32
0 0 5	39.3	24
1 1 -5	39.5	15
2 2 -2	48.3	29
3 1 1	60.2	12
2 -2 5	63.9	11


Structure and computed powder XRD pattern of Sr2TaAlCu2O7 (a PBE-relaxed structure; λ = 1.5418 Å (Cu Kα)).

Crystal structure
```
data_Sr2TaAlCu2O7
_chemical_formula_sum 'Sr4 Ta2 Al2 Cu4 O14'
_cell_length_a 5.4798
_cell_length_b 5.6440
_cell_length_c 12.3328
_cell_angle_alpha 102.28
_cell_angle_beta 102.06
_cell_angle_gamma 92.48
_space_group_name_H-M_alt 'P 1'
_space_group_IT_number 1
loop_
_space_group_symop_operation_xyz
'x,y,z'
loop_
_atom_site_label
_atom_site_type_symbol
_atom_site_fract_x
_atom_site_fract_y
_atom_site_fract_z
Sr1 Sr 0.0000 0.0000 0.0000
Sr2 Sr 0.2164 0.2184 0.4583
Sr3 Sr 0.5021 0.4526 0.0048
Sr4 Sr 0.7194 0.6772 0.4540
Ta1 Ta 0.1225 0.6678 0.2298
Ta2 Ta 0.5379 0.0018 0.2296
Al1 Al 0.3441 0.3184 0.7328
Al2 Al 0.8652 0.8474 0.7261
Cu1 Cu 0.3049 0.7745 0.6224
Cu2 Cu 0.4218 0.8812 0.8365
Cu3 Cu 0.7941 0.2793 0.6222
Cu4 Cu 0.9111 0.4065 0.8361
O1 O 0.0854 0.4535 0.0886
O2 O 0.1087 0.0686 0.8309
O3 O 0.1119 0.1026 0.6192
O4 O 0.1745 0.0274 0.2280
O5 O 0.2223 0.5906 0.3711
O6 O 0.2473 0.5556 0.8403
O7 O 0.4778 0.4471 0.6287
O8 O 0.5295 0.0517 0.0823
O9 O 0.5964 0.2187 0.8351
O10 O 0.6248 0.9426 0.6184
O11 O 0.6706 0.1970 0.3768
O12 O 0.7476 0.7320 0.8370
O13 O 0.7723 0.7415 0.2310
O14 O 0.9784 0.6110 0.6242
```

Largest 8 diffraction maxima, sorted by position, 2θ = 5–70°:
hkl	Position (°2θ)	intensity
-1 1 2	26.9	100
1 1 1	27.6	34
1 1 -3	27.8	39
0 2 -1	31.7	58
1 -1 3	31.9	53
2 0 -1	32.7	85
0 0 5	38.3	45
2 -2 0	45.2	36


Structure and computed powder XRD pattern of Sr2TiAlCu2O7 (a PBE-relaxed structure; λ = 1.5418 Å (Cu Kα)).

Crystal structure
```
data_Sr2TiAlCu2O7
_chemical_formula_sum 'Sr4 Ti2 Al2 Cu4 O14'
_cell_length_a 5.4424
_cell_length_b 5.7339
_cell_length_c 12.0852
_cell_angle_alpha 76.38
_cell_angle_beta 77.02
_cell_angle_gamma 89.93
_space_group_name_H-M_alt 'P 1'
_space_group_IT_number 1
loop_
_space_group_symop_operation_xyz
'x,y,z'
loop_
_atom_site_label
_atom_site_type_symbol
_atom_site_fract_x
_atom_site_fract_y
_atom_site_fract_z
Sr1 Sr 0.0000 0.0000 0.0000
Sr2 Sr 0.2184 0.2205 0.5603
Sr3 Sr 0.4998 0.4401 0.0001
Sr4 Sr 0.7188 0.6581 0.5599
Ti1 Ti 0.1384 0.6542 0.7801
Ti2 Ti 0.6383 0.0053 0.7801
Al1 Al 0.3298 0.3324 0.2802
Al2 Al 0.8289 0.8273 0.2802
Cu1 Cu 0.2791 0.7838 0.3905
Cu2 Cu 0.3902 0.8797 0.1700
Cu3 Cu 0.7795 0.2651 0.3905
Cu4 Cu 0.8913 0.3911 0.1700
O1 O 0.0672 0.7195 0.1715
O2 O 0.0919 0.4387 0.3904
O3 O 0.1253 0.5832 0.6457
O4 O 0.2067 0.2194 0.1705
O5 O 0.4561 0.1136 0.3889
O6 O 0.4835 0.7094 0.7798
O7 O 0.4914 0.0766 0.9145
O8 O 0.5670 0.5484 0.1715
O9 O 0.5916 0.6104 0.3898
O10 O 0.6255 0.2096 0.6457
O11 O 0.7064 0.0497 0.1704
O12 O 0.9560 0.9373 0.3889
O13 O 0.9838 0.9508 0.7799
O14 O 0.9915 0.4497 0.9144
```

Largest 8 diffraction maxima, sorted by position, 2θ = 5–70°:
hkl	Position (°2θ)	intensity
0 0 1	7.7	54
1 1 3	27.5	100
0 2 1	31.2	62
1 1 -2	32.7	64
2 0 1	32.9	60
1 1 5	38.9	79
0 0 5	39.4	34
2 2 2	46.0	52


Structure and computed powder XRD pattern of Sr2TiAlCu2O7 (a PBE-relaxed structure; λ = 1.5418 Å (Cu Kα)).

Crystal structure
```
data_Sr2TiAlCu2O7
_chemical_formula_sum 'Sr4 Ti2 Al2 Cu4 O14'
_cell_length_a 5.4314
_cell_length_b 5.7451
_cell_length_c 12.0925
_cell_angle_alpha 76.32
_cell_angle_beta 77.04
_cell_angle_gamma 89.99
_space_group_name_H-M_alt 'P 1'
_space_group_IT_number 1
loop_
_space_group_symop_operation_xyz
'x,y,z'
loop_
_atom_site_label
_atom_site_type_symbol
_atom_site_fract_x
_atom_site_fract_y
_atom_site_fract_z
Sr1 Sr 0.0000 0.0000 0.0000
Sr2 Sr 0.2146 0.2224 0.5592
Sr3 Sr 0.4995 0.4449 0.9997
Sr4 Sr 0.7155 0.6596 0.5594
Ti1 Ti 0.1387 0.6565 0.7796
Ti2 Ti 0.6382 0.0072 0.7795
Al1 Al 0.3408 0.3417 0.2794
Al2 Al 0.8411 0.8240 0.2797
Cu1 Cu 0.2866 0.7905 0.3898
Cu2 Cu 0.4015 0.8847 0.1696
Cu3 Cu 0.7865 0.2640 0.3895
Cu4 Cu 0.9010 0.3910 0.1694
O1 O 0.0812 0.7247 0.1689
O2 O 0.0955 0.4451 0.3877
O3 O 0.1242 0.5848 0.6464
O4 O 0.2162 0.2230 0.1722
O5 O 0.4592 0.1198 0.3894
O6 O 0.4847 0.7106 0.7797
O7 O 0.4918 0.0786 0.9134
O8 O 0.5803 0.5518 0.1686
O9 O 0.5960 0.6118 0.3874
O10 O 0.6234 0.2103 0.6459
O11 O 0.7164 0.0491 0.1724
O12 O 0.9590 0.9349 0.3902
O13 O 0.9841 0.9527 0.7796
O14 O 0.9930 0.4523 0.9140
```

Largest 8 diffraction maxima, sorted by position, 2θ = 5–70°:
hkl	Position (°2θ)	intensity
0 0 1	7.7	54
1 1 3	27.5	100
0 2 1	31.1	62
1 1 -2	32.7	64
2 0 1	33.0	60
1 1 5	38.9	79
0 0 5	39.4	34
2 2 2	46.0	51